(1)
Simulated PXRD pattern of SnH for Cu Kα (λ = 1.5418 Å), from DFT lattice parameters and positions (PBE).
Lines closer than 0.1° are merged.

Principal peaks in the range 10 to 90 degrees two-theta, sorted by position:
Position (°2θ)  I (rel.)
24.04  100
24.15  77
31.65  54
37.09  29
41.46  55
44.06  59
44.69  40
69.44  18

Structure:
```
data_SnH
_cell_length_a 4.8773
_cell_length_b 4.8773
_cell_length_c 7.6360
_cell_angle_alpha 90.00
_cell_angle_beta 90.00
_cell_angle_gamma 120.40
_symmetry_space_group_name_H-M 'P 1'
_symmetry_Int_Tables_number 1
loop_
_symmetry_equiv_pos_as_xyz
'x,y,z'
loop_
_atom_site_label
_atom_site_type_symbol
_atom_site_fract_x
_atom_site_fract_y
_atom_site_fract_z
Sn1 Sn 0.0972 0.9028 0.8489
Sn2 Sn 0.4028 0.5972 0.3489
Sn3 Sn 0.5972 0.4028 0.6511
Sn4 Sn 0.9028 0.0972 0.1511
H1 H 0.2071 0.7929 0.4278
H2 H 0.2929 0.7071 0.9278
H3 H 0.7071 0.2929 0.0722
H4 H 0.7929 0.2071 0.5722
```



(2)
Simulated PXRD pattern of Sm2PaCuSe5 for Cu Kα (λ = 1.5418 Å), from DFT lattice parameters and positions (PBE).
Lines closer than 0.1° are merged.

Principal peaks in the range 10 to 90 degrees two-theta, sorted by position:
Position (°2θ)  I (rel.)
21.59  10
23.62  17
31.58  100
37.26  40
40.70  10
43.31  12
43.56  10
45.88  18

Structure:
```
data_Sm2PaCuSe5
_cell_length_a 8.9352
_cell_length_b 8.9352
_cell_length_c 12.5339
_cell_angle_alpha 90.00
_cell_angle_beta 90.00
_cell_angle_gamma 154.42
_symmetry_space_group_name_H-M 'P 1'
_symmetry_Int_Tables_number 1
loop_
_symmetry_equiv_pos_as_xyz
'x,y,z'
loop_
_atom_site_label
_atom_site_type_symbol
_atom_site_fract_x
_atom_site_fract_y
_atom_site_fract_z
Sm1 Sm 0.1073 0.8927 0.5000
Sm2 Sm 0.1189 0.8811 0.8480
Sm3 Sm 0.8811 0.1189 0.3480
Sm4 Sm 0.8927 0.1073 0.0000
Pa1 Pa 0.1800 0.8200 0.1783
Pa2 Pa 0.8200 0.1800 0.6783
Cu1 Cu 0.4453 0.5547 0.5735
Cu2 Cu 0.5547 0.4453 0.0735
Se1 Se 0.0184 0.9816 0.1726
Se2 Se 0.3055 0.6945 0.8460
Se3 Se 0.3121 0.6879 0.5097
Se4 Se 0.3452 0.6548 0.1723
Se5 Se 0.4968 0.5032 0.9003
Se6 Se 0.5032 0.4968 0.4003
Se7 Se 0.6548 0.3452 0.6723
Se8 Se 0.6879 0.3121 0.0097
Se9 Se 0.6945 0.3055 0.3460
Se10 Se 0.9816 0.0184 0.6726
```



(3)
Simulated PXRD pattern of CsH2BrF for Cu Kα (λ = 1.5418 Å), from DFT lattice parameters and positions (PBE).
Lines closer than 0.1° are merged.

Principal peaks in the range 10 to 90 degrees two-theta, sorted by position:
Position (°2θ)  I (rel.)
21.78  45
24.68  42
25.24  70
27.50  100
33.95  26
34.13  33
34.28  32
40.73  25

Structure:
```
data_CsH2BrF
_cell_length_a 4.5007
_cell_length_b 5.2830
_cell_length_c 5.3266
_cell_angle_alpha 88.75
_cell_angle_beta 65.26
_cell_angle_gamma 89.77
_symmetry_space_group_name_H-M 'P 1'
_symmetry_Int_Tables_number 1
loop_
_symmetry_equiv_pos_as_xyz
'x,y,z'
loop_
_atom_site_label
_atom_site_type_symbol
_atom_site_fract_x
_atom_site_fract_y
_atom_site_fract_z
Cs1 Cs 0.0000 0.0000 0.0000
H1 H 0.1984 0.5271 0.6042
H2 H 0.2709 0.3397 0.4599
Br1 Br 0.6887 0.5430 0.6235
F1 F 0.3226 0.1684 0.3567
```



(4)
Simulated PXRD pattern of Er3Al11 for Cu Kα (λ = 1.5418 Å), from DFT lattice parameters and positions (PBE).
Lines closer than 0.1° are merged.

Principal peaks in the range 10 to 90 degrees two-theta, sorted by position:
Position (°2θ)  I (rel.)
17.89  40
22.71  100
29.64  38
34.34  72
34.84  92
36.27  26
42.41  35
55.66  33

Structure:
```
data_Er3Al11
_cell_length_a 8.3610
_cell_length_b 8.3610
_cell_length_c 8.3610
_cell_angle_alpha 150.44
_cell_angle_beta 107.27
_cell_angle_gamma 80.40
_symmetry_space_group_name_H-M 'P 1'
_symmetry_Int_Tables_number 1
loop_
_symmetry_equiv_pos_as_xyz
'x,y,z'
loop_
_atom_site_label
_atom_site_type_symbol
_atom_site_fract_x
_atom_site_fract_y
_atom_site_fract_z
Er1 Er 0.0000 0.0000 0.0000
Er2 Er 0.3134 0.3134 0.0000
Er3 Er 0.6866 0.6866 0.0000
Al1 Al 0.0333 0.6621 0.3712
Al2 Al 0.1396 0.8611 0.2785
Al3 Al 0.2910 0.6621 0.6288
Al4 Al 0.2942 0.5000 0.7942
Al5 Al 0.4175 0.1389 0.2785
Al6 Al 0.5000 0.0000 0.5000
Al7 Al 0.5825 0.8611 0.7215
Al8 Al 0.7058 0.5000 0.2058
Al9 Al 0.7090 0.3379 0.3712
Al10 Al 0.8604 0.1389 0.7215
Al11 Al 0.9667 0.3379 0.6288
```



(5)
Simulated PXRD pattern of SrMn2Mo for Cu Kα (λ = 1.5418 Å), from DFT lattice parameters and positions (PBE).
Lines closer than 0.1° are merged.

Principal peaks in the range 10 to 90 degrees two-theta, sorted by position:
Position (°2θ)  I (rel.)
14.69  69
26.21  51
29.63  50
32.58  85
35.90  95
45.38  100
55.14  49
57.48  28

Structure:
```
data_SrMn2Mo
_cell_length_a 6.4570
_cell_length_b 6.4570
_cell_length_c 6.4570
_cell_angle_alpha 36.06
_cell_angle_beta 36.06
_cell_angle_gamma 36.06
_symmetry_space_group_name_H-M 'P 1'
_symmetry_Int_Tables_number 1
loop_
_symmetry_equiv_pos_as_xyz
'x,y,z'
loop_
_atom_site_label
_atom_site_type_symbol
_atom_site_fract_x
_atom_site_fract_y
_atom_site_fract_z
Sr1 Sr 0.0000 0.0000 0.0000
Mn1 Mn 0.1970 0.1970 0.1970
Mn2 Mn 0.5303 0.5303 0.5303
Mo1 Mo 0.8098 0.8098 0.8098
```



(6)
Simulated PXRD pattern of Ta2Cd4O9 for Cu Kα (λ = 1.5418 Å), from DFT lattice parameters and positions (PBE).
Lines closer than 0.1° are merged.

Principal peaks in the range 10 to 90 degrees two-theta, sorted by position:
Position (°2θ)  I (rel.)
21.82  15
30.28  100
31.81  89
44.49  38
49.04  27
55.72  38
56.67  25
74.77  15

Structure:
```
data_Ta2Cd4O9
_cell_length_a 5.6262
_cell_length_b 5.6262
_cell_length_c 14.8416
_cell_angle_alpha 90.00
_cell_angle_beta 90.00
_cell_angle_gamma 120.00
_symmetry_space_group_name_H-M 'P 1'
_symmetry_Int_Tables_number 1
loop_
_symmetry_equiv_pos_as_xyz
'x,y,z'
loop_
_atom_site_label
_atom_site_type_symbol
_atom_site_fract_x
_atom_site_fract_y
_atom_site_fract_z
Ta1 Ta 0.0000 0.0000 0.1442
Ta2 Ta 0.0000 0.0000 0.3558
Ta3 Ta 0.0000 0.0000 0.6442
Ta4 Ta 0.0000 0.0000 0.8558
Cd1 Cd 0.3333 0.6667 0.1993
Cd2 Cd 0.3333 0.6667 0.4786
Cd3 Cd 0.3333 0.6667 0.6993
Cd4 Cd 0.3333 0.6667 0.9786
Cd5 Cd 0.6667 0.3333 0.0214
Cd6 Cd 0.6667 0.3333 0.3007
Cd7 Cd 0.6667 0.3333 0.5214
Cd8 Cd 0.6667 0.3333 0.8007
O1 O 0.0000 0.2610 0.2500
O2 O 0.0000 0.7390 0.7500
O3 O 0.0286 0.3209 0.5881
O4 O 0.0286 0.7077 0.0881
O5 O 0.2610 0.0000 0.2500
O6 O 0.2610 0.2610 0.7500
O7 O 0.2923 0.3209 0.0881
O8 O 0.2923 0.9714 0.5881
O9 O 0.3209 0.0286 0.9119
O10 O 0.3209 0.2923 0.4119
O11 O 0.6791 0.7077 0.5881
O12 O 0.6791 0.9714 0.0881
O13 O 0.7077 0.0286 0.4119
O14 O 0.7077 0.6791 0.9119
O15 O 0.7390 0.0000 0.7500
O16 O 0.7390 0.7390 0.2500
O17 O 0.9714 0.2923 0.9119
O18 O 0.9714 0.6791 0.4119
```



> What is the formula in the fourth record?

Er3Al11